(1)
Diffraction record for Cs2HfAg2Se4. The powder X-ray diffraction pattern is simulated, not measured: it uses a cell relaxed with PBE and Cu Kα (weighted mean of Kα1 and Kα2).

The 6 most intense peaks (10 to 80 degrees two-theta), sorted by position:
8.028 Å, 2θ = 11.02°, intensity 100
3.199 Å, 2θ = 27.89°, intensity 50
2.971 Å, 2θ = 30.08°, intensity 98
2.798 Å, 2θ = 31.99°, intensity 68
2.766 Å, 2θ = 32.36°, intensity 65
1.864 Å, 2θ = 48.86°, intensity 52

Cell lengths 8.1115, 8.1115, 8.4953 Å; angles 108.42, 108.42, 29.74 degrees
Fractional positions:
1 Cs 0.1368 0.1368 0.0737
2 Cs 0.8632 0.8632 0.9263
3 Hf 0.0000 0.0000 0.5000
4 Ag 0.3170 0.3170 0.5220
5 Ag 0.6830 0.6830 0.4780
6 Se 0.1798 0.1798 0.6773
7 Se 0.4903 0.4903 0.7107
8 Se 0.5097 0.5097 0.2893
9 Se 0.8202 0.8202 0.3227

(2)
Diffraction record for Cs4AgHg2. The powder X-ray diffraction pattern is simulated, not measured: it uses a cell relaxed with PBE and Cu Kα (weighted mean of Kα1 and Kα2).

The 6 most intense peaks (10 to 80 degrees two-theta), sorted by position:
6.557 Å, 2θ = 13.50°, intensity 62
4.875 Å, 2θ = 18.20°, intensity 56
4.429 Å, 2θ = 20.05°, intensity 48
3.588 Å, 2θ = 24.81°, intensity 61
3.447 Å, 2θ = 25.84°, intensity 100
2.438 Å, 2θ = 36.87°, intensity 39

Cell lengths 11.6666, 11.6666, 11.6666 Å; angles 145.63, 145.63, 49.40 degrees
Fractional positions:
1 Cs 0.0000 0.5000 0.5000
2 Cs 0.1861 0.1861 0.0000
3 Cs 0.5000 0.0000 0.5000
4 Cs 0.8139 0.8139 0.0000
5 Ag 0.5000 0.5000 0.0000
6 Hg 0.3660 0.3660 0.0000
7 Hg 0.6340 0.6340 0.0000

What did the first record say?
Diffraction record for Cs2HfAg2Se4. The powder X-ray diffraction pattern is simulated, not measured: it uses a cell relaxed with PBE and Cu Kα (weighted mean of Kα1 and Kα2).

The 6 most intense peaks (10 to 80 degrees two-theta), sorted by position:
8.028 Å, 2θ = 11.02°, intensity 100
3.199 Å, 2θ = 27.89°, intensity 50
2.971 Å, 2θ = 30.08°, intensity 98
2.798 Å, 2θ = 31.99°, intensity 68
2.766 Å, 2θ = 32.36°, intensity 65
1.864 Å, 2θ = 48.86°, intensity 52

Cell lengths 8.1115, 8.1115, 8.4953 Å; angles 108.42, 108.42, 29.74 degrees
Fractional positions:
1 Cs 0.1368 0.1368 0.0737
2 Cs 0.8632 0.8632 0.9263
3 Hf 0.0000 0.0000 0.5000
4 Ag 0.3170 0.3170 0.5220
5 Ag 0.6830 0.6830 0.4780
6 Se 0.1798 0.1798 0.6773
7 Se 0.4903 0.4903 0.7107
8 Se 0.5097 0.5097 0.2893
9 Se 0.8202 0.8202 0.3227

Copy entry 1 word for word.
Diffraction record for Cs2HfAg2Se4. The powder X-ray diffraction pattern is simulated, not measured: it uses a cell relaxed with PBE and Cu Kα (weighted mean of Kα1 and Kα2).

The 6 most intense peaks (10 to 80 degrees two-theta), sorted by position:
8.028 Å, 2θ = 11.02°, intensity 100
3.199 Å, 2θ = 27.89°, intensity 50
2.971 Å, 2θ = 30.08°, intensity 98
2.798 Å, 2θ = 31.99°, intensity 68
2.766 Å, 2θ = 32.36°, intensity 65
1.864 Å, 2θ = 48.86°, intensity 52

Cell lengths 8.1115, 8.1115, 8.4953 Å; angles 108.42, 108.42, 29.74 degrees
Fractional positions:
1 Cs 0.1368 0.1368 0.0737
2 Cs 0.8632 0.8632 0.9263
3 Hf 0.0000 0.0000 0.5000
4 Ag 0.3170 0.3170 0.5220
5 Ag 0.6830 0.6830 0.4780
6 Se 0.1798 0.1798 0.6773
7 Se 0.4903 0.4903 0.7107
8 Se 0.5097 0.5097 0.2893
9 Se 0.8202 0.8202 0.3227